[1]
Starting from a structure optimized by DFT (GGA-PBE), the PXRD pattern of DyNi2Ge4 was simulated for Cu Kα X-rays.

abc: 17.242 4.093 6.587
angles: 90.00 90.00 90.00
Atoms (fractional coordinates):
Dy (0.140, 0.250, 0.016)
Dy (0.360, 0.750, 0.516)
Dy (0.640, 0.250, 0.484)
Dy (0.860, 0.750, 0.984)
Ni (0.034, 0.750, 0.757)
Ni (0.210, 0.250, 0.484)
Ni (0.290, 0.750, 0.984)
Ni (0.466, 0.250, 0.257)
Ni (0.534, 0.750, 0.743)
Ni (0.710, 0.250, 0.016)
Ni (0.790, 0.750, 0.516)
Ni (0.966, 0.250, 0.243)
Ge (0.028, 0.750, 0.139)
Ge (0.065, 0.250, 0.518)
Ge (0.178, 0.750, 0.698)
Ge (0.202, 0.750, 0.287)
Ge (0.298, 0.250, 0.787)
Ge (0.322, 0.250, 0.198)
Ge (0.435, 0.750, 0.018)
Ge (0.472, 0.250, 0.639)
Ge (0.528, 0.750, 0.361)
Ge (0.565, 0.250, 0.982)
Ge (0.678, 0.750, 0.802)
Ge (0.702, 0.750, 0.213)
Ge (0.798, 0.250, 0.713)
Ge (0.822, 0.250, 0.302)
Ge (0.935, 0.750, 0.482)
Ge (0.972, 0.250, 0.861)

Principal peaks in the range 2θ from 15° to 90°, low angle first:
d_spacing, Position (°2θ), Rel. int.
2.459, 36.54, 100
2.448, 36.71, 67
2.352, 38.27, 22
2.307, 39.04, 35
2.051, 44.16, 20
2.047, 44.26, 40
1.531, 60.47, 19
1.361, 68.98, 18



[2]
Starting from a structure optimized by DFT (GGA-PBE), the PXRD pattern of Al2Ag5Cl12 was simulated for Cu Kα X-rays.

abc: 7.976 7.976 9.658
angles: 105.52 105.52 52.74
Atoms (fractional coordinates):
Al (0.250, 0.750, 0.000)
Al (0.750, 0.250, 0.000)
Ag (0.000, 0.000, 0.500)
Ag (0.265, 0.265, 0.291)
Ag (0.301, 0.301, 0.629)
Ag (0.699, 0.699, 0.371)
Ag (0.735, 0.735, 0.709)
Cl (0.029, 0.029, 0.852)
Cl (0.097, 0.575, 0.875)
Cl (0.111, 0.621, 0.463)
Cl (0.379, 0.889, 0.537)
Cl (0.425, 0.903, 0.125)
Cl (0.471, 0.471, 0.151)
Cl (0.529, 0.529, 0.849)
Cl (0.575, 0.097, 0.875)
Cl (0.621, 0.111, 0.463)
Cl (0.889, 0.379, 0.537)
Cl (0.903, 0.425, 0.125)
Cl (0.971, 0.971, 0.148)

Principal peaks in the range 2θ from 15° to 90°, low angle first:
d_spacing, Position (°2θ), Rel. int.
4.491, 19.77, 67
3.898, 22.81, 100
3.827, 23.25, 99
2.924, 30.57, 97
2.457, 36.58, 98
2.445, 36.76, 75
2.366, 38.03, 59
2.060, 43.95, 73



[3]
Starting from a structure optimized by DFT (GGA-PBE), the PXRD pattern of ThCS was simulated for Cu Kα X-rays.

abc: 8.149 8.149 8.149
angles: 151.80 150.63 41.17
Atoms (fractional coordinates):
Th (0.132, 0.132, 0.000)
Th (0.868, 0.868, 0.000)
C (0.345, 0.000, 0.345)
C (0.655, 0.000, 0.655)
S (0.326, 0.326, 0.000)
S (0.674, 0.674, 0.000)

Principal peaks in the range 2θ from 15° to 90°, low angle first:
d_spacing, Position (°2θ), Rel. int.
3.988, 22.29, 59
3.842, 23.15, 72
3.814, 23.32, 79
3.207, 27.82, 48
3.129, 28.52, 35
2.863, 31.25, 100
2.289, 39.35, 96
1.818, 50.19, 39



[4]
Starting from a structure optimized by DFT (GGA-PBE), the PXRD pattern of LaZn3Ga3 was simulated for Cu Kα X-rays.

abc: 7.082 4.433 9.196
angles: 90.00 111.81 90.00
Atoms (fractional coordinates):
La (0.145, 0.250, 0.246)
La (0.855, 0.750, 0.754)
Zn (0.227, 0.250, 0.888)
Zn (0.436, 0.750, 0.835)
Zn (0.459, 0.250, 0.680)
Zn (0.541, 0.750, 0.320)
Zn (0.564, 0.250, 0.165)
Zn (0.773, 0.750, 0.112)
Ga (0.050, 0.250, 0.584)
Ga (0.267, 0.750, 0.046)
Ga (0.357, 0.750, 0.518)
Ga (0.643, 0.250, 0.482)
Ga (0.733, 0.250, 0.954)
Ga (0.950, 0.750, 0.416)

Principal peaks in the range 2θ from 15° to 90°, low angle first:
d_spacing, Position (°2θ), Rel. int.
2.745, 32.62, 63
2.641, 33.95, 91
2.623, 34.18, 78
2.537, 35.38, 53
2.395, 37.56, 61
2.334, 38.58, 42
2.310, 39.00, 48
2.217, 40.70, 100



[5]
Starting from a structure optimized by DFT (GGA-PBE), the PXRD pattern of CaPOs2 was simulated for Cu Kα X-rays.

abc: 2.930 2.930 7.634
angles: 90.00 90.00 90.00
Atoms (fractional coordinates):
Ca (0.000, 0.000, 0.000)
P (0.500, 0.500, 0.704)
Os (0.000, 0.000, 0.530)
Os (0.500, 0.500, 0.294)

Principal peaks in the range 2θ from 15° to 90°, low angle first:
d_spacing, Position (°2θ), Rel. int.
2.735, 32.74, 35
2.324, 38.75, 100
2.071, 43.70, 39
1.999, 45.36, 19
1.921, 47.32, 24
1.465, 63.51, 13
1.404, 66.63, 16
1.239, 76.94, 27



[6]
Starting from a structure optimized by DFT (GGA-PBE), the PXRD pattern of TbDyCuSi was simulated for Cu Kα X-rays.

abc: 4.088 5.725 5.725
angles: 41.63 90.00 90.00
Atoms (fractional coordinates):
Tb (0.000, 0.000, 0.000)
Dy (0.500, 0.280, 0.280)
Cu (0.500, 0.576, 0.576)
Si (0.000, 0.713, 0.713)

Principal peaks in the range 2θ from 15° to 90°, low angle first:
d_spacing, Position (°2θ), Rel. int.
3.248, 27.46, 52
2.784, 32.15, 100
2.680, 33.43, 79
2.242, 40.23, 55
2.044, 44.32, 21
2.034, 44.54, 21
1.724, 53.12, 17
1.625, 56.63, 35



[7]
Starting from a structure optimized by DFT (GGA-PBE), the PXRD pattern of Pa2Co3C2 was simulated for Cu Kα X-rays.

abc: 3.676 3.432 8.519
angles: 90.00 100.50 90.00
Atoms (fractional coordinates):
Pa (0.028, 0.000, 0.239)
Pa (0.972, 0.000, 0.761)
Co (0.283, 0.500, 0.579)
Co (0.500, 0.500, 0.000)
Co (0.717, 0.500, 0.421)
C (0.488, 0.500, 0.211)
C (0.512, 0.500, 0.789)

Principal peaks in the range 2θ from 15° to 90°, low angle first:
d_spacing, Position (°2θ), Rel. int.
4.188, 21.21, 56
3.614, 24.63, 38
3.022, 29.56, 33
2.654, 33.77, 100
2.519, 35.65, 52
2.489, 36.09, 82
2.268, 39.74, 46
1.419, 65.84, 28



[8]
Starting from a structure optimized by DFT (GGA-PBE), the PXRD pattern of Y2Si4Ir3Ru was simulated for Cu Kα X-rays.

abc: 4.179 4.179 9.655
angles: 90.00 90.00 90.00
Atoms (fractional coordinates):
Y (0.000, 0.500, 0.248)
Y (0.500, 0.000, 0.752)
Si (0.000, 0.000, 0.000)
Si (0.000, 0.500, 0.625)
Si (0.500, 0.000, 0.375)
Si (0.500, 0.500, 0.000)
Ir (0.000, 0.500, 0.873)
Ir (0.500, 0.000, 0.127)
Ir (0.500, 0.500, 0.500)
Ru (0.000, 0.000, 0.500)

Principal peaks in the range 2θ from 15° to 90°, low angle first:
d_spacing, Position (°2θ), Rel. int.
3.159, 28.25, 66
2.825, 31.67, 98
2.550, 35.20, 82
2.520, 35.63, 100
2.089, 43.31, 93
1.869, 48.71, 52
1.753, 52.19, 57
1.616, 56.99, 41



[9]
Starting from a structure optimized by DFT (GGA-PBE), the PXRD pattern of Pr8Y3Th was simulated for Cu Kα X-rays.

abc: 8.745 8.745 8.745
angles: 101.13 94.29 137.08
Atoms (fractional coordinates):
Pr (0.000, 0.161, 0.161)
Pr (0.000, 0.839, 0.839)
Pr (0.089, 0.175, 0.589)
Pr (0.089, 0.500, 0.914)
Pr (0.495, 0.163, 0.668)
Pr (0.495, 0.828, 0.332)
Pr (0.587, 0.175, 0.086)
Pr (0.587, 0.500, 0.411)
Y (0.000, 0.500, 0.500)
Y (0.076, 0.826, 0.250)
Y (0.576, 0.826, 0.750)
Th (0.508, 0.508, 0.000)

Principal peaks in the range 2θ from 15° to 90°, low angle first:
d_spacing, Position (°2θ), Rel. int.
3.204, 27.85, 24
2.974, 30.05, 26
2.821, 31.72, 100
2.180, 41.41, 11
1.850, 49.27, 19
1.686, 54.42, 22
1.571, 58.79, 23
1.548, 59.76, 11



[10]
Starting from a structure optimized by DFT (GGA-PBE), the PXRD pattern of Ca4P2N was simulated for Cu Kα X-rays.

abc: 8.127 8.127 8.127
angles: 147.05 147.05 47.29
Atoms (fractional coordinates):
Ca (0.000, 0.500, 0.500)
Ca (0.169, 0.169, 0.000)
Ca (0.500, 0.000, 0.500)
Ca (0.831, 0.831, 0.000)
P (0.363, 0.363, 0.000)
P (0.637, 0.637, 0.000)
N (0.000, 0.000, 0.000)

Principal peaks in the range 2θ from 15° to 90°, low angle first:
d_spacing, Position (°2θ), Rel. int.
2.986, 29.93, 99
2.501, 35.90, 29
2.482, 36.20, 40
2.452, 36.65, 100
2.305, 39.08, 87
1.689, 54.32, 44
1.630, 56.46, 27
1.357, 69.22, 27